Structure and computed X-ray powder pattern of Li2Ti3O6 (a crystal structure in Alexandria, relaxed with PBE; Cu Kα).
Kinematic intensities with the Lorentz-polarization factor, no thermal factor.

Structural model:
```
22
Lattice="0.000 4.323 8.546 2.852 0.000 8.546 2.852 4.323 0.000" Properties=species:S:1:pos:R:3 pbc="T T T"
Li 2.139 3.242 0.755
Li 3.564 5.404 5.028
Li 2.139 3.242 12.064
Li 3.564 5.404 16.337
Ti 0.713 1.081 2.137
Ti 2.139 3.242 3.591
Ti 3.564 5.404 7.864
Ti 2.139 3.242 9.229
Ti 3.564 5.404 13.502
Ti 4.990 7.565 14.956
O 3.598 3.161 4.948
O 2.139 0.963 6.410
O 3.598 3.324 7.871
O 5.024 5.485 9.221
O 3.564 3.125 10.683
O 5.024 5.323 12.144
O 0.679 3.324 4.948
O 2.139 5.521 6.410
O 0.679 3.161 7.871
O 2.105 5.323 9.221
O 3.564 7.683 10.683
O 2.105 5.485 12.144
```

Largest 6 diffraction maxima, sorted by position, 2θ = 10–90°:
| 2theta | intensity |
| --- | --- |
| 24.36 | 1000 |
| 38.40 | 182 |
| 41.79 | 337 |
| 44.98 | 541 |
| 51.81 | 212 |
| 63.07 | 318 |